The following is a computed powder diffractogram of ZnHgAsHO5. It was derived from the GGA-PBE geometry in Alexandria, using CuKα.
Neutral-atom scattering factors, no anomalous dispersion.

Peak list (8 most intense, 2θ from 5° to 70°, sorted by position)
| 2θ/deg | d/Å | I_rel |
| --- | --- | --- |
| 17.08 | 5.191 | 33 |
| 20.56 | 4.321 | 34 |
| 26.76 | 3.331 | 100 |
| 31.81 | 2.813 | 47 |
| 32.53 | 2.752 | 47 |
| 33.71 | 2.659 | 41 |
| 35.49 | 2.530 | 43 |
| 55.17 | 1.665 | 49 |

```
data_ZnHgAsHO5
_chemical_formula_sum 'Zn4 Hg4 As4 H4 O20'
_space_group_name_H-M_alt 'P n m a'
_space_group_IT_number 62
_space_group_name_Hall '-P 2ac 2n'
_cell_length_a 7.794
_cell_length_b 6.419
_cell_length_c 8.826
_cell_angle_alpha 90.00
_cell_angle_beta 90.00
_cell_angle_gamma 90.00
loop_
_atom_site_label
_atom_site_fract_x
_atom_site_fract_y
_atom_site_fract_z
Zn1 0.000 0.000 0.000
Hg1 0.113 0.250 0.327
As1 0.144 0.250 0.681
H1 0.241 0.750 0.546
O1 0.017 0.750 0.458
O2 0.130 0.025 0.787
O3 0.139 0.250 0.083
O4 0.170 0.750 0.073
```